The following is a calculated XRD peak list of NaCaNbP2SO12. It was derived from a cell relaxed with PBE, using Cu Kα, 1.54184 Å.
Neutral-atom scattering factors, no anomalous dispersion.

Unit cell a=15.665 b=9.007 c=9.242 alpha=90.00 beta=123.54 gamma=90.00
Space group Cc (No. 9)
Asymmetric unit:
Na (0.000, 0.237, 0.000) x4
Ca (0.358, 0.254, 0.081) x4
Nb (0.148, 0.253, 0.459) x4
P (0.113, 0.096, 0.776) x4
P (0.250, 0.456, 0.274) x4
S (0.403, 0.113, 0.769) x4
O (0.016, 0.155, 0.753) x4
O (0.114, 0.082, 0.292) x4
O (0.116, 0.134, 0.606) x4
O (0.168, 0.366, 0.292) x4
O (0.184, 0.434, 0.607) x4
O (0.207, 0.155, 0.933) x4
O (0.308, 0.180, 0.611) x4
O (0.313, 0.345, 0.251) x4
O (0.315, 0.451, 0.931) x4
O (0.407, 0.137, 0.926) x4
O (0.414, 0.045, 0.247) x4
O (0.493, 0.193, 0.781) x4

Largest 10 diffraction maxima, low angle first, 2θ = 10–90°:
(1 1 -1), 2θ 13.74, rel. 52; (1 1 1), 2θ 19.04, rel. 40; (0 2 0), 2θ 19.67, rel. 71; (3 1 0), 2θ 22.69, rel. 48; (0 2 1), 2θ 22.91, rel. 100; (2 2 -2), 2θ 27.67, rel. 32; (3 1 1), 2θ 30.30, rel. 35; (0 2 2), 2θ 30.53, rel. 48; (3 1 -3), 2θ 30.70, rel. 34; (3 3 -1), 2θ 34.46, rel. 28

---

The following is a calculated XRD peak list of Tl2Pd. It was derived from a cell relaxed with PBE, using Cu Kα, 1.54184 Å.
Neutral-atom scattering factors, no anomalous dispersion.

Unit cell a=6.877 b=6.877 c=5.911 alpha=90.00 beta=90.00 gamma=90.00
Space group I4/mcm (No. 140)
Asymmetric unit:
Tl (0.165, 0.335, 0.000) x8
Pd (0.000, 0.000, 0.250) x4

Largest 10 diffraction maxima, low angle first, 2θ = 10–90°:
(0 0 2), 2θ 30.24, rel. 14; (2 1 1), 2θ 32.83, rel. 100; (1 1 2), 2θ 35.55, rel. 20; (2 0 2), 2θ 40.24, rel. 29; (3 1 0), 2θ 41.52, rel. 28; (2 1 3), 2θ 55.38, rel. 23; (4 1 1), 2θ 57.40, rel. 20; (3 3 2), 2θ 65.70, rel. 20; (4 1 3), 2θ 74.54, rel. 9; (5 2 1), 2θ 76.28, rel. 10

---

The following is a calculated XRD peak list of NdSi2Ir2. It was derived from a cell relaxed with PBE, using Cu Kα, 1.54184 Å.
Neutral-atom scattering factors, no anomalous dispersion.

Unit cell a=4.190 b=4.190 c=9.920 alpha=90.00 beta=90.00 gamma=90.00
Space group P4/nmm (No. 129, origin choice 2)
Asymmetric unit:
Nd (0.250, 0.250, 0.244) x2
Si (0.250, 0.250, 0.629) x2
Si (0.250, 0.750, 0.000) x2
Ir (0.250, 0.250, 0.874) x2
Ir (0.250, 0.750, 0.500) x2

Largest 10 diffraction maxima, low angle first, 2θ = 10–90°:
(0 0 3), 2θ 26.96, rel. 31; (1 0 2), 2θ 27.87, rel. 30; (1 1 1), 2θ 31.51, rel. 77; (1 0 3), 2θ 34.55, rel. 67; (1 1 2), 2θ 35.28, rel. 100; (2 0 0), 2θ 43.18, rel. 71; (1 1 4), 2θ 47.83, rel. 27; (1 0 5), 2θ 50.93, rel. 24; (2 1 3), 2θ 56.44, rel. 33; (2 2 0), 2θ 62.71, rel. 24

---

Q: What is the formula in the third record?
A: NdSi2Ir2

---

Q: What is the formula in the first record?
A: NaCaNbP2SO12